Entry 1:
K2HNF6: simulated X-ray powder pattern (copper Kα), based on the PBE geometry in Alexandria.
Lines closer than 0.1° are merged.

Main lines, sorted by position (15 to 90 degrees two-theta):
2θ (°), I/Imax, hkl
19.16, 30.1, 1 1 -1
28.68, 33.6, 0 2 1
30.42, 57.6, 2 0 0
30.66, 41.6, 2 2 -1
33.49, 31.7, 2 0 -2
36.18, 43.1, 2 2 0
38.86, 100.0, 0 4 0
43.11, 18.8, 0 0 2
47.57, 20.4, 0 2 2
52.17, 14.3, 1 5 -1

Crystal structure
Cell lengths 7.5328, 9.2797, 5.3790 Å; angles 90.00, 128.72, 90.00 degrees
Space group Cm (No. 8)
Asymmetric unit:
K  0.0000  0.2179  0.0000 x4
H  0.1012  0.0000  0.5910 x2
N  0.4805  0.0000  0.4885 x2
F  0.0366  0.0000  0.3306 x2
F  0.0956  0.5000  0.8178 x2
F  0.1618  0.5000  0.4770 x2
F  0.1683  0.0000  0.8482 x2
F  0.4606  0.2011  0.4671 x4

***

Entry 2:
KH6N2F: simulated X-ray powder pattern (copper Kα), based on the PBE geometry in Alexandria.
Lines closer than 0.1° are merged.

Main lines, sorted by position (15 to 90 degrees two-theta):
2θ (°), I/Imax, hkl
15.07, 22.2, 1 1 0
24.49, 9.9, 0 2 1
32.96, 26.5, 0 4 0
33.35, 23.8, 1 3 1
35.65, 100.0, 2 2 1
36.78, 23.4, 0 0 2
43.60, 7.5, 1 5 0
50.19, 15.2, 0 4 2
60.61, 7.2, 2 6 1
65.51, 10.6, 2 2 3

Crystal structure
Cell lengths 6.9877, 10.8699, 4.8877 Å; angles 90.00, 90.00, 90.00 degrees
Space group Cmcm (No. 63)
Asymmetric unit:
K  0.0000  0.1147  0.2500 x4
H  0.1610  0.3826  0.0814 x16
H  0.1753  0.1991  0.7500 x8
N  0.2498  0.1166  0.7500 x8
F  0.0000  0.3274  0.7500 x4